(1)
K2MnI2Cl4: computed powder X-ray diffraction pattern (Cu Kα X-rays), based on a PBE-relaxed structure.

Atomic structure:
abc: 7.452 7.452 10.348
angles: 90.00 90.00 90.00
Space group I4/mmm (No. 139)
One atom of each set of equivalent atoms:
K  0.000  0.500  0.250 (multiplicity 4)
Mn  0.000  0.000  0.000 (multiplicity 2)
I  0.000  0.000  0.264 (multiplicity 4)
Cl  0.216  0.216  0.000 (multiplicity 8)

Peak list (12 most intense, 2θ = 5–70°, low angle first)
2theta, I_rel
14.6, 159
16.8, 632
23.9, 336
28.5, 151
29.5, 1000
34.0, 533
34.7, 262
38.8, 137
48.9, 162
49.4, 325
58.2, 208
61.3, 148

(2)
K2I2ClO6: computed powder X-ray diffraction pattern (Cu Kα X-rays), based on a PBE-relaxed structure.

Atomic structure:
abc: 15.635 7.135 7.869
angles: 90.00 90.00 90.00
Space group Pca2_1 (No. 29)
One atom of each set of equivalent atoms:
K  0.035  0.027  0.000 (multiplicity 4)
K  0.243  0.415  0.052 (multiplicity 4)
I  0.047  0.523  0.286 (multiplicity 4)
I  0.236  0.935  0.308 (multiplicity 4)
Cl  0.119  0.701  0.761 (multiplicity 4)
O  0.005  0.267  0.713 (multiplicity 4)
O  0.065  0.394  0.089 (multiplicity 4)
O  0.132  0.040  0.337 (multiplicity 4)
O  0.160  0.603  0.323 (multiplicity 4)
O  0.199  0.143  0.796 (multiplicity 4)
O  0.227  0.880  0.059 (multiplicity 4)

Peak list (12 most intense, 2θ = 5–70°, low angle first)
2theta, I_rel
13.6, 99
16.0, 135
16.8, 558
22.6, 255
22.7, 192
25.0, 212
28.3, 1000
29.8, 164
30.4, 136
36.3, 102
46.1, 228
53.7, 94

(3)
K4IClO: computed powder X-ray diffraction pattern (Cu Kα X-rays), based on a PBE-relaxed structure.

Atomic structure:
abc: 7.433 16.988 7.453
angles: 90.00 90.00 90.00
Space group Cmcm (No. 63)
One atom of each set of equivalent atoms:
K  0.000  0.092  0.250 (multiplicity 4)
K  0.000  0.396  0.250 (multiplicity 4)
K  0.250  0.250  0.000 (multiplicity 8)
I  0.000  0.400  0.750 (multiplicity 4)
Cl  0.000  0.110  0.750 (multiplicity 4)
O  0.000  0.246  0.250 (multiplicity 4)

Peak list (12 most intense, 2θ = 5–70°, low angle first)
2theta, I_rel
13.0, 298
15.8, 258
23.1, 270
23.9, 503
26.1, 480
28.9, 210
31.6, 312
32.0, 1000
34.1, 708
47.2, 368
59.7, 293
59.8, 185

(4)
K8I3Cl3O: computed powder X-ray diffraction pattern (Cu Kα X-rays), based on a PBE-relaxed structure.

Atomic structure:
abc: 9.2483 9.2483 24.1608
angles: 90.00 90.00 120.00
Space group R-3m (No. 166, hexagonal axes)
One atom of each set of equivalent atoms:
K  0.0000  0.0000  0.2392 (multiplicity 6)
K  0.0557  0.5278  0.2284 (multiplicity 18)
I  0.0000  0.5000  0.0000 (multiplicity 9)
Cl  0.0000  0.5000  0.5000 (multiplicity 9)
O  0.0000  0.0000  0.5000 (multiplicity 3)

Peak list (12 most intense, 2θ = 5–70°, low angle first)
2theta, I_rel
11.6, 332
13.3, 146
22.1, 109
22.5, 194
23.4, 102
26.7, 1000
29.0, 232
37.3, 298
39.0, 360
47.9, 146
52.2, 102
63.3, 111

(5)
K2Rb3I3Cl2: computed powder X-ray diffraction pattern (Cu Kα X-rays), based on a PBE-relaxed structure.

Atomic structure:
abc: 5.565 5.565 31.680
angles: 90.00 90.00 90.00
Space group I4/mmm (No. 139)
One atom of each set of equivalent atoms:
K  0.000  0.500  0.250 (multiplicity 4)
Rb  0.000  0.000  0.000 (multiplicity 2)
Rb  0.000  0.000  0.387 (multiplicity 4)
I  0.000  0.000  0.121 (multiplicity 4)
I  0.000  0.000  0.500 (multiplicity 2)
Cl  0.000  0.000  0.285 (multiplicity 4)

Peak list (12 most intense, 2θ = 5–70°, low angle first)
2theta, I_rel
5.6, 218
22.5, 579
22.6, 1000
23.3, 336
25.3, 286
32.1, 525
32.2, 640
36.4, 393
39.6, 511
46.1, 225
51.9, 457
57.3, 208

(6)
K2TcI4Cl2: computed powder X-ray diffraction pattern (Cu Kα X-rays), based on a PBE-relaxed structure.

Atomic structure:
abc: 13.109 8.031 8.023
angles: 90.00 126.99 90.00
Space group C2/m (No. 12)
One atom of each set of equivalent atoms:
K  0.249  0.000  0.288 (multiplicity 4)
Tc  0.000  0.000  0.500 (multiplicity 2)
I  0.033  0.242  0.773 (multiplicity 8)
Cl  0.223  0.000  0.664 (multiplicity 4)

Peak list (12 most intense, 2θ = 5–70°, low angle first)
2theta, I_rel
13.9, 327
14.0, 279
16.9, 715
22.2, 297
27.8, 337
28.0, 921
28.2, 280
31.5, 1000
34.3, 252
35.9, 303
45.2, 331
48.8, 221